(1)
Calculated powder diffractogram of Tl2SeO4 for λ = 1.5418 Å (Cu Kα), from a structure optimized by DFT (PBE).
Peak positions follow from Bragg's law for the DFT cell and can differ from measured ones.

Cell and atoms:
a b c (Å): 6.439 8.098 10.924
angles (deg): 90.00 90.00 90.00
Fractional coordinates of all 28 atoms:
Tl1 0.025 0.244 0.211
Tl2 0.028 0.074 0.581
Tl3 0.472 0.926 0.081
Tl4 0.475 0.756 0.711
Tl5 0.525 0.256 0.789
Tl6 0.528 0.426 0.419
Tl7 0.972 0.574 0.919
Tl8 0.975 0.744 0.289
Se1 0.010 0.545 0.584
Se2 0.490 0.455 0.084
Se3 0.510 0.955 0.416
Se4 0.990 0.045 0.916
O1 0.047 0.951 0.050
O2 0.072 0.743 0.555
O3 0.197 0.030 0.823
O4 0.215 0.452 0.650
O5 0.285 0.548 0.150
O6 0.303 0.970 0.323
O7 0.428 0.257 0.055
O8 0.453 0.049 0.550
O9 0.547 0.549 0.950
O10 0.572 0.757 0.445
O11 0.697 0.470 0.177
O12 0.715 0.048 0.350
O13 0.785 0.952 0.850
O14 0.803 0.530 0.677
O15 0.928 0.243 0.945
O16 0.953 0.451 0.450

The 10 most intense peaks (10 to 90 degrees two-theta), by intensity:
2θ (°)  I_rel
28.15  100
27.27  96
27.71  59
27.42  39
39.38  35
24.03  30
26.00  29
49.25  26
49.53  25
34.20  24

(2)
Calculated powder diffractogram of Tl2SeO4 for λ = 1.5418 Å (Cu Kα), from a structure optimized by DFT (PBE).
Peak positions follow from Bragg's law for the DFT cell and can differ from measured ones.

Cell and atoms:
a b c (Å): 6.361 6.361 8.211
angles (deg): 90.10 90.10 116.38
Fractional coordinates of all 14 atoms:
Tl1 0.000 0.000 0.000
Tl2 0.000 0.000 0.500
Tl3 0.332 0.668 0.750
Tl4 0.668 0.332 0.250
Se1 0.344 0.656 0.250
Se2 0.656 0.344 0.750
O1 0.238 0.360 0.253
O2 0.251 0.735 0.080
O3 0.265 0.749 0.420
O4 0.360 0.238 0.753
O5 0.640 0.762 0.247
O6 0.735 0.251 0.580
O7 0.749 0.265 0.920
O8 0.762 0.640 0.747

The 10 most intense peaks (10 to 90 degrees two-theta), by intensity:
2θ (°)  I_rel
26.76  100
28.11  82
26.59  48
27.28  32
48.62  22
47.89  20
39.94  19
38.41  18
38.51  17
49.55  15

(3)
Calculated powder diffractogram of Tl2Se3O9 for λ = 1.5418 Å (Cu Kα), from a structure optimized by DFT (PBE).
Peak positions follow from Bragg's law for the DFT cell and can differ from measured ones.

Cell and atoms:
a b c (Å): 4.800 11.549 17.796
angles (deg): 90.00 100.01 90.00
Fractional coordinates of all 56 atoms:
Tl1 0.115 0.148 0.373
Tl2 0.115 0.352 0.873
Tl3 0.377 0.561 0.704
Tl4 0.377 0.939 0.204
Tl5 0.623 0.061 0.796
Tl6 0.623 0.439 0.296
Tl7 0.885 0.648 0.127
Tl8 0.885 0.852 0.627
Se1 0.129 0.678 0.307
Se2 0.129 0.822 0.807
Se3 0.228 0.105 0.948
Se4 0.228 0.395 0.448
Se5 0.314 0.054 0.594
Se6 0.314 0.446 0.094
Se7 0.686 0.554 0.906
Se8 0.686 0.946 0.406
Se9 0.772 0.605 0.552
Se10 0.772 0.895 0.052
Se11 0.871 0.178 0.193
Se12 0.871 0.322 0.693
O1 0.048 0.531 0.914
O2 0.048 0.969 0.414
O3 0.067 0.529 0.593
O4 0.067 0.971 0.093
O5 0.082 0.073 0.250
O6 0.082 0.427 0.750
O7 0.102 0.237 0.974
O8 0.102 0.263 0.474
O9 0.167 0.745 0.723
O10 0.167 0.755 0.223
O11 0.361 0.164 0.870
O12 0.361 0.336 0.370
O13 0.408 0.121 0.682
O14 0.408 0.379 0.182
O15 0.413 0.589 0.110
O16 0.413 0.911 0.610
O17 0.435 0.606 0.338
O18 0.435 0.894 0.838
O19 0.565 0.106 0.162
O20 0.565 0.394 0.662
O21 0.587 0.089 0.390
O22 0.587 0.411 0.890
O23 0.592 0.621 0.818
O24 0.592 0.879 0.318
O25 0.639 0.664 0.630
O26 0.639 0.836 0.130
O27 0.833 0.245 0.777
O28 0.833 0.255 0.277
O29 0.898 0.737 0.526
O30 0.898 0.763 0.026
O31 0.918 0.573 0.250
O32 0.918 0.927 0.750
O33 0.933 0.029 0.907
O34 0.933 0.471 0.407
O35 0.952 0.031 0.586
O36 0.952 0.469 0.086

The 10 most intense peaks (10 to 90 degrees two-theta), by intensity:
2θ (°)  I_rel
12.68  100
24.18  89
26.58  82
10.09  67
31.40  53
21.19  52
25.09  51
27.36  46
26.96  45
30.54  37